Entry 1:
Calculated powder diffractogram of MoWSeS3 for Cu Kα (λ = 1.5418 Å), from a structure optimized by DFT (GGA-PBE).
Neutral-atom scattering factors, no anomalous dispersion.

Principal peaks in the range 10° ≤ 2θ ≤ 90°, most intense first:
hkl 0 0 5, d = 7.268 Å, I = 1000; hkl 1 0 8, d = 2.377 Å, I = 565; hkl 0 1 13, d = 1.974 Å, I = 333; hkl 1 0 0, d = 2.789 Å, I = 260; hkl 0 0 6, d = 6.056 Å, I = 217; hkl 1 1 0, d = 1.610 Å, I = 186; hkl 1 0 5, d = 2.604 Å, I = 159; hkl 1 0 14, d = 1.900 Å, I = 125; hkl 1 0 3, d = 2.718 Å, I = 117; hkl 1 1 5, d = 1.572 Å, I = 104

Structural model:
```
data_MoWSeS3
_space_group_name_H-M_alt 'P 3 m 1'
_space_group_IT_number 156
_cell_length_a 3.2202
_cell_length_b 3.2202
_cell_length_c 36.3376
_cell_angle_alpha 90.00
_cell_angle_beta 90.00
_cell_angle_gamma 120.00
loop_
_space_group_symop_operation_xyz
'x,y,z'
'-y,x-y,z'
'-x+y,-x,z'
'-y,-x,z'
'-x+y,y,z'
'x,x-y,z'
loop_
_atom_site_label
_atom_site_type_symbol
_atom_site_fract_x
_atom_site_fract_y
_atom_site_fract_z
Mo1 Mo 0.0000 0.0000 0.0000
Mo2 Mo 0.0000 0.0000 0.3757
W1 W 0.3333 0.6667 0.1879
W2 W 0.3333 0.6667 0.5636
Se1 Se 0.3333 0.6667 0.3287
Se2 Se 0.3333 0.6667 0.4228
S1 S 0.0000 0.0000 0.1449
S2 S 0.0000 0.0000 0.2308
S3 S 0.0000 0.0000 0.5206
S4 S 0.0000 0.0000 0.6066
S5 S 0.3333 0.6667 0.0428
S6 S 0.3333 0.6667 0.9572
```

***

Entry 2:
Calculated powder diffractogram of KTlSe2 for Cu Kα (λ = 1.5418 Å), from a structure optimized by DFT (GGA-PBE).
Neutral-atom scattering factors, no anomalous dispersion.

Principal peaks in the range 10° ≤ 2θ ≤ 90°, most intense first:
hkl 2 0 2, d = 2.713 Å, I = 1000; hkl 1 1 0, d = 5.829 Å, I = 999; hkl 2 2 0, d = 2.915 Å, I = 477; hkl 3 1 2, d = 2.112 Å, I = 462; hkl 2 1 1, d = 3.282 Å, I = 388; hkl 2 0 0, d = 4.122 Å, I = 265; hkl 4 0 2, d = 1.789 Å, I = 208; hkl 4 2 0, d = 1.843 Å, I = 201; hkl 1 1 2, d = 3.065 Å, I = 192; hkl 4 2 2, d = 1.641 Å, I = 177

Structural model:
```
data_KTlSe2
_space_group_name_H-M_alt 'I 4/m c m'
_space_group_IT_number 140
_space_group_name_Hall '-I 4 2c'
_cell_length_a 8.2435
_cell_length_b 8.2435
_cell_length_c 7.2081
_cell_angle_alpha 90.00
_cell_angle_beta 90.00
_cell_angle_gamma 90.00
loop_
_atom_site_label
_atom_site_type_symbol
_atom_site_fract_x
_atom_site_fract_y
_atom_site_fract_z
K1 K 0.0000 0.0000 0.2500
Tl1 Tl 0.0000 0.5000 0.2500
Se1 Se 0.1763 0.3237 0.0000
```

***

Entry 3:
Calculated powder diffractogram of ErCoNi for Cu Kα (λ = 1.5418 Å), from a structure optimized by DFT (GGA-PBE).
Neutral-atom scattering factors, no anomalous dispersion.

Principal peaks in the range 10° ≤ 2θ ≤ 90°, most intense first:
hkl 2 1 1, d = 2.128 Å, I = 1000; hkl 1 1 2, d = 2.508 Å, I = 676; hkl 1 0 3, d = 2.146 Å, I = 513; hkl 1 0 1, d = 4.087 Å, I = 235; hkl 2 3 1, d = 1.358 Å, I = 227; hkl 2 2 4, d = 1.254 Å, I = 224; hkl 0 2 2, d = 2.044 Å, I = 216; hkl 0 2 0, d = 2.497 Å, I = 173; hkl 2 0 0, d = 2.490 Å, I = 159; hkl 2 0 4, d = 1.451 Å, I = 125

Structural model:
```
data_ErCoNi
_space_group_name_H-M_alt 'I m m a'
_space_group_IT_number 74
_space_group_name_Hall '-I 2b 2'
_cell_length_a 4.9791
_cell_length_b 4.9934
_cell_length_c 7.1344
_cell_angle_alpha 90.00
_cell_angle_beta 90.00
_cell_angle_gamma 90.00
loop_
_atom_site_label
_atom_site_type_symbol
_atom_site_fract_x
_atom_site_fract_y
_atom_site_fract_z
Er1 Er 0.0000 0.2500 0.1270
Co1 Co 0.0000 0.0000 0.5000
Ni1 Ni 0.2500 0.2500 0.7500
```

***

Entry 4:
Calculated powder diffractogram of LiZnGe for Cu Kα (λ = 1.5418 Å), from a structure optimized by DFT (GGA-PBE).
Neutral-atom scattering factors, no anomalous dispersion.

Principal peaks in the range 10° ≤ 2θ ≤ 90°, most intense first:
hkl 1 1 0, d = 2.144 Å, I = 1000; hkl 1 0 0, d = 3.713 Å, I = 909; hkl 1 1 3, d = 1.772 Å, I = 673; hkl 0 0 3, d = 3.147 Å, I = 609; hkl 0 1 3, d = 2.401 Å, I = 560; hkl 0 1 4, d = 1.992 Å, I = 298; hkl 0 1 7, d = 1.268 Å, I = 206; hkl 1 0 2, d = 2.918 Å, I = 168; hkl 3 0 0, d = 1.238 Å, I = 158; hkl 3 0 3, d = 1.152 Å, I = 156

Structural model:
```
data_LiZnGe
_space_group_name_H-M_alt 'P 3 m 1'
_space_group_IT_number 156
_cell_length_a 4.2876
_cell_length_b 4.2876
_cell_length_c 9.4409
_cell_angle_alpha 90.00
_cell_angle_beta 90.00
_cell_angle_gamma 120.00
loop_
_space_group_symop_operation_xyz
'x,y,z'
'-y,x-y,z'
'-x+y,-x,z'
'-y,-x,z'
'-x+y,y,z'
'x,x-y,z'
loop_
_atom_site_label
_atom_site_type_symbol
_atom_site_fract_x
_atom_site_fract_y
_atom_site_fract_z
Li1 Li 0.0000 0.0000 0.0000
Li2 Li 0.0000 0.0000 0.3321
Li3 Li 0.0000 0.0000 0.6644
Zn1 Zn 0.3333 0.6667 0.1260
Zn2 Zn 0.3333 0.6667 0.5384
Zn3 Zn 0.6667 0.3333 0.8511
Ge1 Ge 0.3333 0.6667 0.8309
Ge2 Ge 0.6667 0.3333 0.1965
Ge3 Ge 0.6667 0.3333 0.4679
```

***

Entry 5:
Calculated powder diffractogram of ErInPt4 for Cu Kα (λ = 1.5418 Å), from a structure optimized by DFT (GGA-PBE).
Neutral-atom scattering factors, no anomalous dispersion.

Principal peaks in the range 10° ≤ 2θ ≤ 90°, most intense first:
hkl 3 1 1, d = 2.302 Å, I = 1000; hkl 2 2 2, d = 2.204 Å, I = 510; hkl 5 1 1, d = 1.469 Å, I = 328; hkl 4 4 0, d = 1.350 Å, I = 299; hkl 6 2 2, d = 1.151 Å, I = 200; hkl 2 2 0, d = 2.699 Å, I = 183; hkl 1 1 1, d = 4.407 Å, I = 178; hkl 5 3 3, d = 1.164 Å, I = 117; hkl 4 0 0, d = 1.908 Å, I = 100; hkl 4 2 2, d = 1.558 Å, I = 68

Structural model:
```
data_ErInPt4
_space_group_name_H-M_alt 'F -4 3 m'
_space_group_IT_number 216
_space_group_name_Hall 'F -4 2 3'
_cell_length_a 7.6340
_cell_length_b 7.6340
_cell_length_c 7.6340
_cell_angle_alpha 90.00
_cell_angle_beta 90.00
_cell_angle_gamma 90.00
loop_
_atom_site_label
_atom_site_type_symbol
_atom_site_fract_x
_atom_site_fract_y
_atom_site_fract_z
Er1 Er 0.0000 0.0000 0.0000
In1 In 0.2500 0.2500 0.7500
Pt1 Pt 0.1246 0.1246 0.3754
```

***

Entry 6:
Calculated powder diffractogram of VSiNi for Cu Kα (λ = 1.5418 Å), from a structure optimized by DFT (GGA-PBE).
Neutral-atom scattering factors, no anomalous dispersion.

Principal peaks in the range 10° ≤ 2θ ≤ 90°, most intense first:
hkl 2 1 3, d = 1.988 Å, I = 1000; hkl 1 2 2, d = 1.983 Å, I = 838; hkl 2 2 0, d = 2.001 Å, I = 781; hkl 0 1 3, d = 2.364 Å, I = 652; hkl 3 1 1, d = 2.105 Å, I = 572; hkl 3 0 2, d = 2.100 Å, I = 506; hkl 1 0 4, d = 1.967 Å, I = 354; hkl 0 2 6, d = 1.182 Å, I = 313; hkl 4 0 2, d = 1.677 Å, I = 250; hkl 2 2 2, d = 1.797 Å, I = 245

Structural model:
```
data_VSiNi
_space_group_name_H-M_alt 'A m m 2'
_space_group_IT_number 38
_cell_length_a 7.3485
_cell_length_b 4.7718
_cell_length_c 8.1653
_cell_angle_alpha 90.00
_cell_angle_beta 90.00
_cell_angle_gamma 90.00
loop_
_space_group_symop_operation_xyz
'x,y,z'
'-x,-y,z'
'-x,y,z'
'x,-y,z'
'x,y+1/2,z+1/2'
'-x,-y+1/2,z+1/2'
'-x,y+1/2,z+1/2'
'x,-y+1/2,z+1/2'
loop_
_atom_site_label
_atom_site_type_symbol
_atom_site_fract_x
_atom_site_fract_y
_atom_site_fract_z
V1 V 0.1778 0.0000 0.0000
V2 V 0.3127 0.0000 0.6696
Si1 Si 0.0000 0.0000 0.5076
Si2 Si 0.0000 0.2420 0.7498
Si3 Si 0.5000 0.0000 0.1704
Ni1 Ni 0.2397 0.0000 0.3336
Ni2 Ni 0.5000 0.2437 0.9281
```

***

Entry 7:
Calculated powder diffractogram of BaEuHfSnO6 for Cu Kα (λ = 1.5418 Å), from a structure optimized by DFT (GGA-PBE).
Neutral-atom scattering factors, no anomalous dispersion.

Principal peaks in the range 10° ≤ 2θ ≤ 90°, most intense first:
hkl 2 2 0, d = 2.938 Å, I = 1000; hkl 4 2 2, d = 1.696 Å, I = 411; hkl 4 0 0, d = 2.078 Å, I = 286; hkl 6 4 2, d = 1.111 Å, I = 225; hkl 4 4 0, d = 1.469 Å, I = 181; hkl 6 2 0, d = 1.314 Å, I = 181; hkl 4 4 4, d = 1.200 Å, I = 62; hkl 1 1 1, d = 4.798 Å, I = 25; hkl 3 1 1, d = 2.506 Å, I = 15; hkl 2 0 0, d = 4.155 Å, I = 10

Structural model:
```
data_BaEuHfSnO6
_space_group_name_H-M_alt 'F -4 3 m'
_space_group_IT_number 216
_space_group_name_Hall 'F -4 2 3'
_cell_length_a 8.3104
_cell_length_b 8.3104
_cell_length_c 8.3104
_cell_angle_alpha 90.00
_cell_angle_beta 90.00
_cell_angle_gamma 90.00
loop_
_atom_site_label
_atom_site_type_symbol
_atom_site_fract_x
_atom_site_fract_y
_atom_site_fract_z
Ba1 Ba 0.0000 0.0000 0.0000
Eu1 Eu 0.0000 0.0000 0.5000
Hf1 Hf 0.2500 0.2500 0.7500
Sn1 Sn 0.2500 0.2500 0.2500
O1 O 0.9998 0.2500 0.2500
```

***

Entry 8:
Calculated powder diffractogram of TaH4 for Cu Kα (λ = 1.5418 Å), from a structure optimized by DFT (GGA-PBE).
Neutral-atom scattering factors, no anomalous dispersion.

Principal peaks in the range 10° ≤ 2θ ≤ 90°, most intense first:
hkl 1 1 0, d = 3.057 Å, I = 1000; hkl 2 1 1, d = 1.765 Å, I = 415; hkl 3 2 1, d = 1.156 Å, I = 213; hkl 2 0 0, d = 2.162 Å, I = 182; hkl 3 1 0, d = 1.367 Å, I = 179; hkl 2 2 0, d = 1.529 Å, I = 134; hkl 2 2 2, d = 1.248 Å, I = 43

Structural model:
```
data_TaH4
_space_group_name_H-M_alt 'I m -3 m'
_space_group_IT_number 229
_space_group_name_Hall '-I 4 2 3'
_cell_length_a 4.3239
_cell_length_b 4.3239
_cell_length_c 4.3239
_cell_angle_alpha 90.00
_cell_angle_beta 90.00
_cell_angle_gamma 90.00
loop_
_atom_site_label
_atom_site_type_symbol
_atom_site_fract_x
_atom_site_fract_y
_atom_site_fract_z
Ta1 Ta 0.0000 0.0000 0.0000
H1 H 0.2500 0.2500 0.2500
```

***

Question: What is the formula in the sixth record?
Answer: VSiNi

***

Repeat the fifth record exactly.
Calculated powder diffractogram of ErInPt4 for Cu Kα (λ = 1.5418 Å), from a structure optimized by DFT (GGA-PBE).
Neutral-atom scattering factors, no anomalous dispersion.

Principal peaks in the range 10° ≤ 2θ ≤ 90°, most intense first:
hkl 3 1 1, d = 2.302 Å, I = 1000; hkl 2 2 2, d = 2.204 Å, I = 510; hkl 5 1 1, d = 1.469 Å, I = 328; hkl 4 4 0, d = 1.350 Å, I = 299; hkl 6 2 2, d = 1.151 Å, I = 200; hkl 2 2 0, d = 2.699 Å, I = 183; hkl 1 1 1, d = 4.407 Å, I = 178; hkl 5 3 3, d = 1.164 Å, I = 117; hkl 4 0 0, d = 1.908 Å, I = 100; hkl 4 2 2, d = 1.558 Å, I = 68

Structural model:
```
data_ErInPt4
_space_group_name_H-M_alt 'F -4 3 m'
_space_group_IT_number 216
_space_group_name_Hall 'F -4 2 3'
_cell_length_a 7.6340
_cell_length_b 7.6340
_cell_length_c 7.6340
_cell_angle_alpha 90.00
_cell_angle_beta 90.00
_cell_angle_gamma 90.00
loop_
_atom_site_label
_atom_site_type_symbol
_atom_site_fract_x
_atom_site_fract_y
_atom_site_fract_z
Er1 Er 0.0000 0.0000 0.0000
In1 In 0.2500 0.2500 0.7500
Pt1 Pt 0.1246 0.1246 0.3754
```